No. 1
# Dy2ErGa3
Computed powder diffractogram, Cu Kα, 1.54184 Å. Input: DFT lattice parameters and positions (PBE).
Intensities are scaled so that the largest is 100.

Atomic structure:
Lattice parameters (Å, degrees): 5.0300 5.0300 12.3547 90.00 90.00 120.00
Space group P-3m1 (No. 164)
Unique sites:
Dy 0.0000 0.0000 0.0000 [1 per cell]
Dy 0.0000 0.0000 0.5000 [1 per cell]
Dy 0.3333 0.6667 0.1677 [2 per cell]
Er 0.3333 0.6667 0.6667 [2 per cell]
Ga 0.0000 0.0000 0.2509 [2 per cell]
Ga 0.3333 0.6667 0.4173 [2 per cell]
Ga 0.3333 0.6667 0.9162 [2 per cell]

Principal peaks in the range 2θ from 10° to 90°, in order of rising 2θ:
two_theta  d [Å]  I_rel
25.01  3.560  17
35.67  2.517  100
44.09  2.054  4
51.33  1.780  18
57.92  1.592  7
63.96  1.456  9
64.11  1.453  27
75.46  1.260  6
75.62  1.258  6
81.07  1.186  3
86.38  1.126  8
86.50  1.125  8

No. 2
# DyErGaPd
Computed powder diffractogram, Cu Kα, 1.54184 Å. Input: DFT lattice parameters and positions (PBE).
Intensities are scaled so that the largest is 100.

Atomic structure:
Lattice parameters (Å, degrees): 7.0694 7.0694 7.0694 90.00 90.00 90.00
Space group F-43m (No. 216)
Unique sites:
Dy 0.0000 0.0000 0.0000 [4 per cell]
Er 0.0000 0.0000 0.5000 [4 per cell]
Ga 0.2500 0.2500 0.2500 [4 per cell]
Pd 0.2500 0.2500 0.7500 [4 per cell]

Principal peaks in the range 2θ from 10° to 90°, in order of rising 2θ:
two_theta  d [Å]  I_rel
21.77  4.082  1
25.19  3.535  10
35.93  2.499  100
42.41  2.132  1
44.39  2.041  3
51.72  1.767  18
58.38  1.581  4
64.58  1.443  36
76.18  1.250  11
81.73  1.178  2
87.21  1.118  16

No. 3
# DyEr4Hg4
Computed powder diffractogram, Cu Kα, 1.54184 Å. Input: DFT lattice parameters and positions (PBE).
Intensities are scaled so that the largest is 100.

Atomic structure:
Lattice parameters (Å, degrees): 9.4746 9.4746 5.4678 90.00 90.00 90.00
Space group P4_2/n (No. 86, origin choice 2)
Unique sites:
Dy 0.2500 0.2500 0.2500 [2 per cell]
Er 0.0996 0.8399 0.6493 [8 per cell]
Hg 0.0449 0.1458 0.8529 [8 per cell]

Principal peaks in the range 2θ from 10° to 90°, in order of rising 2θ:
two_theta  d [Å]  I_rel
26.61  3.349  29
29.82  2.996  89
31.32  2.856  48
32.75  2.735  80
34.13  2.627  64
37.99  2.368  100
39.22  2.297  61
42.68  2.119  21
57.57  1.601  26
59.34  1.557  49
61.95  1.498  35
65.33  1.428  26

No. 4
# Dy5ErHg2
Computed powder diffractogram, Cu Kα, 1.54184 Å. Input: DFT lattice parameters and positions (PBE).
Intensities are scaled so that the largest is 100.

Atomic structure:
Lattice parameters (Å, degrees): 3.6484 10.2926 12.2841 90.00 90.00 90.00
Space group Immm (No. 71)
Unique sites:
Dy 0.0000 0.0000 0.0000 [2 per cell]
Dy 0.0000 0.2753 0.3638 [8 per cell]
Er 0.0000 0.5000 0.0000 [2 per cell]
Hg 0.0000 0.0000 0.2671 [4 per cell]

Principal peaks in the range 2θ from 10° to 90°, in order of rising 2θ:
two_theta  d [Å]  I_rel
29.78  3.001  23
30.91  2.893  68
32.88  2.724  61
34.00  2.637  100
34.87  2.573  41
35.93  2.499  23
39.34  2.291  16
48.68  1.871  33
50.00  1.824  18
61.32  1.512  29
61.85  1.500  36
62.40  1.488  15

No. 5
# Dy3ErHg2
Computed powder diffractogram, Cu Kα, 1.54184 Å. Input: DFT lattice parameters and positions (PBE).
Intensities are scaled so that the largest is 100.

Atomic structure:
Lattice parameters (Å, degrees): 5.1148 9.2183 7.0085 90.00 90.00 90.00
Space group Pmc2_1 (No. 26)
Unique sites:
Dy 0.0000 0.0538 0.0000 [2 per cell]
Dy 0.0000 0.3267 0.3428 [2 per cell]
Dy 0.5000 0.1755 0.6869 [2 per cell]
Er 0.5000 0.4462 0.0304 [2 per cell]
Hg 0.0000 0.3499 0.7796 [2 per cell]
Hg 0.5000 0.1505 0.2505 [2 per cell]

Principal peaks in the range 2θ from 10° to 90°, in order of rising 2θ:
two_theta  d [Å]  I_rel
29.02  3.076  30
30.93  2.891  24
31.80  2.814  13
32.09  2.790  31
32.46  2.758  100
34.04  2.634  89
35.09  2.557  59
42.96  2.106  18
48.28  1.885  20
59.14  1.562  14
61.30  1.512  16
62.28  1.491  16

No. 6
# Dy2ErMgHg4
Computed powder diffractogram, Cu Kα, 1.54184 Å. Input: DFT lattice parameters and positions (PBE).
Intensities are scaled so that the largest is 100.

Atomic structure:
Lattice parameters (Å, degrees): 5.1433 5.1433 25.5558 90.00 90.00 120.00
Space group R-3m (No. 166, hexagonal axes)
Unique sites:
Dy 0.0000 0.0000 0.2456 [6 per cell]
Er 0.0000 0.0000 0.0000 [3 per cell]
Mg 0.0000 0.0000 0.5000 [3 per cell]
Hg 0.0000 0.0000 0.1244 [6 per cell]
Hg 0.0000 0.0000 0.3730 [6 per cell]

Principal peaks in the range 2θ from 10° to 90°, in order of rising 2θ:
two_theta  d [Å]  I_rel
20.24  4.388  5
24.36  3.654  12
34.55  2.596  100
34.89  2.572  99
49.92  1.827  36
61.69  1.503  18
62.35  1.489  37
62.56  1.485  19
72.88  1.298  11
73.68  1.286  12
83.41  1.159  16
83.99  1.152  17

No. 7
# Dy6HoEr2
Computed powder diffractogram, Cu Kα, 1.54184 Å. Input: DFT lattice parameters and positions (PBE).
Intensities are scaled so that the largest is 100.

Atomic structure:
Lattice parameters (Å, degrees): 3.5266 8.6248 9.3178 90.03 100.83 90.07
Space group P-1 (No. 2)
Unique sites:
Dy 0.1113 0.1663 0.2213 [2 per cell]
Dy 0.2219 0.8335 0.4439 [2 per cell]
Dy 0.3332 0.5000 0.6672 [2 per cell]
Ho 0.0000 0.5000 0.0000 [1 per cell]
Er 0.4445 0.1667 0.8893 [2 per cell]

Principal peaks in the range 2θ from 10° to 90°, in order of rising 2θ:
two_theta  d [Å]  I_rel
31.09  2.877  100
36.05  2.491  51
51.90  1.762  36
61.67  1.504  11
61.77  1.502  32
64.82  1.438  12
76.35  1.247  2
76.52  1.245  4
84.75  1.144  7
84.86  1.143  10
87.47  1.115  6
87.61  1.114  10

No. 8
# Dy7Ho2Er3
Computed powder diffractogram, Cu Kα, 1.54184 Å. Input: DFT lattice parameters and positions (PBE).
Intensities are scaled so that the largest is 100.

Atomic structure:
Lattice parameters (Å, degrees): 6.1460 5.4488 11.9210 90.00 91.36 90.00
Space group P2/m (No. 10)
Unique sites:
Dy 0.0000 0.0000 0.0000 [1 per cell]
Dy 0.0878 0.5000 0.1682 [2 per cell]
Dy 0.2372 0.5000 0.4538 [2 per cell]
Dy 0.4374 0.0000 0.1804 [2 per cell]
Ho 0.3917 0.5000 0.7218 [2 per cell]
Er 0.0556 0.0000 0.6599 [2 per cell]
Er 0.5000 0.5000 0.0000 [1 per cell]

Principal peaks in the range 2θ from 10° to 90°, in order of rising 2θ:
two_theta  d [Å]  I_rel
29.07  3.072  10
29.86  2.992  13
31.19  2.868  25
31.70  2.823  100
32.87  2.724  53
33.10  2.706  24
34.19  2.623  47
37.09  2.424  16
47.33  1.921  25
57.96  1.591  18
58.77  1.571  10
59.55  1.552  11